The following is a calculated powder XRD pattern of ScTlV2O6. It was derived from a DFT-relaxed cell (PBE+U, Alexandria), using Cu Kα.
Lines closer than 0.1° are merged.

Cell and atoms:
```
data_ScTlV2O6
_cell_length_a 5.5025
_cell_length_b 5.5025
_cell_length_c 15.9808
_cell_angle_alpha 90.00
_cell_angle_beta 90.00
_cell_angle_gamma 120.00
_symmetry_space_group_name_H-M 'R -3 m'
_symmetry_Int_Tables_number 166
_symmetry_space_group_name_Hall '-R 3 2"'
loop_
_atom_site_label
_atom_site_fract_x
_atom_site_fract_y
_atom_site_fract_z
_atom_site_occupancy
Sc1 0.0000 0.0000 0.0000 1
Tl1 0.0000 0.0000 0.5000 1
V1 0.0000 0.0000 0.1779 1
O1 0.0130 0.5065 0.5746 1
```

Main lines, low angle first (2θ = 5–70°):
16.64°, d 5.327, I 100; 21.71°, d 4.093, I 58; 29.17°, d 3.062, I 53; 32.55°, d 2.751, I 77; 36.77°, d 2.444, I 70; 38.19°, d 2.357, I 20; 39.47°, d 2.283, I 27; 47.51°, d 1.914, I 72; 56.00°, d 1.642, I 19; 68.82°, d 1.364, I 22